# 1
For LaS, a DFT-relaxed cell (PBE, the Materials Project) gives the calculated X-ray diffraction stick pattern in this record (copper Kα).
Neutral-atom scattering factors, no anomalous dispersion.

Largest 6 diffraction maxima, sorted by position, 2θ = 10–90°:
2θ/deg	intensity
23.9	82
29.5	100
29.8	64
31.0	94
31.4	69
43.5	60

Structure:
```
data_LaS
_chemical_formula_sum 'La8 S8'
_cell_length_a 5.7666
_cell_length_b 5.7722
_cell_length_c 18.0156
_cell_angle_alpha 90.00
_cell_angle_beta 90.00
_cell_angle_gamma 90.00
_symmetry_space_group_name_H-M 'C m c e'
_symmetry_Int_Tables_number 64
_symmetry_space_group_name_Hall '-C 2ac 2'
loop_
_atom_site_label
_atom_site_type_symbol
_atom_site_fract_x
_atom_site_fract_y
_atom_site_fract_z
_atom_site_occupancy
La1 La 0.0000 0.1756 0.1786 1
S1 S 0.0000 0.1755 0.3411 1
```

***

# 2
For LaS, a DFT-relaxed cell (PBE, the Materials Project) gives the calculated X-ray diffraction stick pattern in this record (copper Kα).
Neutral-atom scattering factors, no anomalous dispersion.

Largest 6 diffraction maxima, sorted by position, 2θ = 10–90°:
2θ/deg	intensity
26.3	70
30.4	100
43.6	73
51.6	35
54.1	25
71.9	32

Structure:
```
data_LaS
_chemical_formula_sum 'La4 S4'
_cell_length_a 5.8754
_cell_length_b 5.8754
_cell_length_c 5.8754
_cell_angle_alpha 90.00
_cell_angle_beta 90.00
_cell_angle_gamma 90.00
_symmetry_space_group_name_H-M 'F m -3 m'
_symmetry_Int_Tables_number 225
_symmetry_space_group_name_Hall '-F 4 2 3'
loop_
_atom_site_label
_atom_site_type_symbol
_atom_site_fract_x
_atom_site_fract_y
_atom_site_fract_z
_atom_site_occupancy
La1 La 0.0000 0.0000 0.0000 1
S1 S 0.0000 0.0000 0.5000 1
```

***

# 3
For La3S4, a DFT-relaxed cell (PBE, the Materials Project) gives the calculated X-ray diffraction stick pattern in this record (copper Kα).
Neutral-atom scattering factors, no anomalous dispersion.

Largest 6 diffraction maxima, sorted by position, 2θ = 10–90°:
2θ/deg	intensity
25.0	100
32.4	99
38.5	62
46.5	41
53.5	31
65.9	38

Structure:
```
data_La3S4
_chemical_formula_sum 'La12 S16'
_cell_length_a 8.7403
_cell_length_b 8.7403
_cell_length_c 8.7403
_cell_angle_alpha 90.00
_cell_angle_beta 90.00
_cell_angle_gamma 90.00
_symmetry_space_group_name_H-M 'I -4 3 d'
_symmetry_Int_Tables_number 220
_symmetry_space_group_name_Hall 'I -4bd 2c 3'
loop_
_atom_site_label
_atom_site_type_symbol
_atom_site_fract_x
_atom_site_fract_y
_atom_site_fract_z
_atom_site_occupancy
La1 La 0.0000 0.2500 0.3750 1
S1 S 0.0750 0.0750 0.0750 1
```

***

# 4
For LaS, a DFT-relaxed cell (PBE, the Materials Project) gives the calculated X-ray diffraction stick pattern in this record (copper Kα).
Neutral-atom scattering factors, no anomalous dispersion.

Largest 6 diffraction maxima, sorted by position, 2θ = 10–90°:
2θ/deg	intensity
24.9	45
35.5	100
51.1	17
57.6	19
63.8	35
86.0	16

Structure:
```
data_LaS
_chemical_formula_sum 'La1 S1'
_cell_length_a 3.5755
_cell_length_b 3.5755
_cell_length_c 3.5755
_cell_angle_alpha 90.00
_cell_angle_beta 90.00
_cell_angle_gamma 90.00
_symmetry_space_group_name_H-M 'P m -3 m'
_symmetry_Int_Tables_number 221
_symmetry_space_group_name_Hall '-P 4 2 3'
loop_
_atom_site_label
_atom_site_type_symbol
_atom_site_fract_x
_atom_site_fract_y
_atom_site_fract_z
_atom_site_occupancy
La1 La 0.0000 0.0000 0.0000 1
S1 S 0.5000 0.5000 0.5000 1
```

***

# 5
For La2S3, a DFT-relaxed cell (PBE, the Materials Project) gives the calculated X-ray diffraction stick pattern in this record (copper Kα).
Neutral-atom scattering factors, no anomalous dispersion.

Largest 6 diffraction maxima, sorted by position, 2θ = 10–90°:
2θ/deg	intensity
25.0	100
25.3	76
27.3	55
33.8	78
36.2	41
37.5	49

Structure:
```
data_La2S3
_chemical_formula_sum 'La8 S12'
_cell_length_a 7.6166
_cell_length_b 4.1607
_cell_length_c 15.8841
_cell_angle_alpha 90.00
_cell_angle_beta 90.00
_cell_angle_gamma 90.00
_symmetry_space_group_name_H-M 'P n m a'
_symmetry_Int_Tables_number 62
_symmetry_space_group_name_Hall '-P 2ac 2n'
loop_
_atom_site_label
_atom_site_type_symbol
_atom_site_fract_x
_atom_site_fract_y
_atom_site_fract_z
_atom_site_occupancy
La1 La 0.1466 0.2500 0.2050 1
La2 La 0.2360 0.7500 0.4561 1
S1 S 0.0119 0.2500 0.3906 1
S2 S 0.1288 0.7500 0.0674 1
S3 S 0.1452 0.2500 0.7804 1
```

***

# 6
For La4S7, a DFT-relaxed cell (PBE, the Materials Project) gives the calculated X-ray diffraction stick pattern in this record (copper Kα).
Neutral-atom scattering factors, no anomalous dispersion.

Largest 6 diffraction maxima, sorted by position, 2θ = 10–90°:
2θ/deg	intensity
22.1	34
24.5	100
31.0	48
38.4	67
40.2	46
44.4	31

Structure:
```
data_La4S7
_chemical_formula_sum 'La8 S14'
_cell_length_a 5.7686
_cell_length_b 5.7686
_cell_length_c 16.1072
_cell_angle_alpha 90.00
_cell_angle_beta 90.00
_cell_angle_gamma 90.00
_symmetry_space_group_name_H-M 'I -4 2 m'
_symmetry_Int_Tables_number 121
_symmetry_space_group_name_Hall 'I -4 2'
loop_
_atom_site_label
_atom_site_type_symbol
_atom_site_fract_x
_atom_site_fract_y
_atom_site_fract_z
_atom_site_occupancy
La1 La 0.2445 0.2445 0.1355 1
S1 S 0.0000 0.0000 0.0000 1
S2 S 0.0000 0.5000 0.0000 1
S3 S 0.2425 0.2425 0.3194 1
```

***

# 7
For La2S3, a DFT-relaxed cell (PBE, the Materials Project) gives the calculated X-ray diffraction stick pattern in this record (copper Kα).
Neutral-atom scattering factors, no anomalous dispersion.

Largest 6 diffraction maxima, sorted by position, 2θ = 10–90°:
2θ/deg	intensity
24.9	100
32.3	77
32.4	32
38.5	43
38.6	27
46.4	28

Structure:
```
data_La2S3
_chemical_formula_sum 'La32 S48'
_cell_length_a 8.7658
_cell_length_b 8.7658
_cell_length_c 26.1651
_cell_angle_alpha 90.00
_cell_angle_beta 90.00
_cell_angle_gamma 90.00
_symmetry_space_group_name_H-M 'I -4 2 d'
_symmetry_Int_Tables_number 122
_symmetry_space_group_name_Hall 'I -4 2bw'
loop_
_atom_site_label
_atom_site_type_symbol
_atom_site_fract_x
_atom_site_fract_y
_atom_site_fract_z
_atom_site_occupancy
La1 La 0.0000 0.0000 0.1650 1
La2 La 0.1206 0.7500 0.6250 1
La3 La 0.1403 0.7414 0.9612 1
S1 S 0.0710 0.6765 0.1832 1
S2 S 0.0728 0.6824 0.8554 1
S3 S 0.0808 0.6671 0.5166 1
```

***

# 8
For LaS, a DFT-relaxed cell (PBE, the Materials Project) gives the calculated X-ray diffraction stick pattern in this record (copper Kα).
Neutral-atom scattering factors, no anomalous dispersion.

Largest 6 diffraction maxima, sorted by position, 2θ = 10–90°:
2θ/deg	intensity
23.4	59
27.6	100
31.0	98
32.2	85
33.6	50
46.6	56

Structure:
```
data_LaS
_chemical_formula_sum 'La2 S2'
_cell_length_a 4.0755
_cell_length_b 4.0755
_cell_length_c 10.6003
_cell_angle_alpha 90.00
_cell_angle_beta 90.00
_cell_angle_gamma 90.00
_symmetry_space_group_name_H-M 'P 4/n m m'
_symmetry_Int_Tables_number 129
loop_
_symmetry_equiv_pos_as_xyz
'x,y,z'
'-x,-y,-z'
'-y+1/2,x,z'
'y+1/2,-x,-z'
'-x+1/2,-y+1/2,z'
'x+1/2,y+1/2,-z'
'y,-x+1/2,z'
'-y,x+1/2,-z'
'x+1/2,-y,-z'
'-x+1/2,y,z'
'-y,-x,-z'
'y,x,z'
'-x,y+1/2,-z'
'x,-y+1/2,z'
'y+1/2,x+1/2,-z'
'-y+1/2,-x+1/2,z'
loop_
_atom_site_label
_atom_site_type_symbol
_atom_site_fract_x
_atom_site_fract_y
_atom_site_fract_z
_atom_site_occupancy
La1 La 0.2500 0.2500 0.1216 1
S1 S 0.2500 0.2500 0.8454 1
```